Diffraction record for Ta7Mo. The X-ray diffraction stick pattern is computed, not measured: it uses a crystal structure in Alexandria, relaxed with PBE and Cu Kα (weighted mean of Kα1 and Kα2).
Kinematic intensities with the Lorentz-polarization factor, no thermal factor.

Main lines, low angle first (10° ≤ 2θ ≤ 80°):
hkl 0 0 3, 2θ 11.57, intensity 2; hkl 1 0 1, 2θ 22.39, intensity 1; hkl 0 1 2, 2θ 23.39, intensity 1; hkl 0 1 5, 2θ 29.49, intensity 1; hkl 1 0 7, 2θ 35.28, intensity 2; hkl 0 1 8, 2θ 38.52, intensity 100; hkl 1 1 0, 2θ 38.69, intensity 100; hkl 2 0 8, 2θ 55.74, intensity 34; hkl 1 0 16, 2θ 69.57, intensity 17; hkl 1 2 8, 2θ 69.90, intensity 35; hkl 3 0 0, 2θ 70.01, intensity 18; hkl 1 1 15, 2θ 74.17, intensity 1

Cell and atoms:
```
data_Ta7Mo
_chemical_formula_sum 'Ta21 Mo3'
_cell_length_a 4.6551
_cell_length_b 4.6551
_cell_length_c 22.9488
_cell_angle_alpha 90.00
_cell_angle_beta 90.00
_cell_angle_gamma 120.00
_symmetry_space_group_name_H-M 'R -3 m'
_symmetry_Int_Tables_number 166
_symmetry_space_group_name_Hall '-R 3 2"'
loop_
_atom_site_label
_atom_site_type_symbol
_atom_site_fract_x
_atom_site_fract_y
_atom_site_fract_z
Ta1 Ta 0.0000 0.0000 0.0000
Ta2 Ta 0.0000 0.0000 0.1275
Ta3 Ta 0.0000 0.0000 0.2527
Ta4 Ta 0.0000 0.0000 0.3776
Mo1 Mo 0.0000 0.0000 0.5000
```

Diffraction record for AlSiTc2. The X-ray diffraction stick pattern is computed, not measured: it uses a crystal structure in Alexandria, relaxed with PBE and Cu Kα (weighted mean of Kα1 and Kα2).
Kinematic intensities with the Lorentz-polarization factor, no thermal factor.

Main lines, low angle first (10° ≤ 2θ ≤ 80°):
hkl 2 0 0, 2θ 22.08, intensity 71; hkl 1 1 -1, 2θ 36.42, intensity 41; hkl 0 0 2, 2θ 38.30, intensity 17; hkl 1 1 1, 2θ 39.24, intensity 100; hkl 2 0 -2, 2θ 39.48, intensity 51; hkl 4 0 0, 2θ 45.05, intensity 31; hkl 3 1 -1, 2θ 46.51, intensity 61; hkl 2 0 2, 2θ 49.38, intensity 23; hkl 3 1 1, 2θ 53.30, intensity 13; hkl 0 2 0, 2θ 63.45, intensity 12; hkl 1 1 -3, 2θ 66.15, intensity 23; hkl 2 2 -2, 2θ 77.36, intensity 13

Cell and atoms:
```
data_AlSiTc2
_chemical_formula_sum 'Al2 Si2 Tc4'
_cell_length_a 8.293
_cell_length_b 2.932
_cell_length_c 4.842
_cell_angle_alpha 90.00
_cell_angle_beta 103.91
_cell_angle_gamma 90.00
_symmetry_space_group_name_H-M 'C 1 2/m 1'
_symmetry_Int_Tables_number 12
loop_
_symmetry_equiv_pos_as_xyz
'x,y,z'
'-x,-y,-z'
'-x,y,-z'
'x,-y,z'
'x+1/2,y+1/2,z'
'-x+1/2,-y+1/2,-z'
'-x+1/2,y+1/2,-z'
'x+1/2,-y+1/2,z'
loop_
_atom_site_label
_atom_site_type_symbol
_atom_site_fract_x
_atom_site_fract_y
_atom_site_fract_z
Al1 Al 0.000 0.000 0.000
Si1 Si 0.000 0.500 0.500
Tc1 Tc 0.236 0.000 0.733
```